Calculated PXRD pattern of Li5Co3O8 for CuKα, from a structure optimized by DFT (PBE+U).
Peak positions follow from Bragg's law for the DFT cell and can differ from measured ones.

Principal peaks in the range 2θ = 10–80°, sorted by position:
| Position (°2θ) | Rel. int. | (hkl) |
| --- | --- | --- |
| 15.60 | 15 | 0 1 0 |
| 18.80 | 100 | 0 0 1 |
| 19.24 | 10 | 1 0 0 |
| 24.52 | 9 | 0 1 1 |
| 24.87 | 11 | 1 1 0 |
| 27.04 | 10 | 1 1 -1 |
| 37.18 | 35 | 2 0 -1 |
| 44.76 | 28 | 2 0 -2 |
| 45.04 | 54 | 1 2 1 |
| 59.34 | 10 | 1 2 2 |
| 64.74 | 14 | 1 2 -3 |
| 66.00 | 14 | 3 2 -1 |

Crystal structure
Cell lengths 4.8984, 5.6795, 5.0122 Å; angles 90.00, 109.66, 90.00 degrees
Space group P2/m (No. 10)
One atom of each set of equivalent atoms:
Li: 0.0000 0.0000 0.0000
Li: 0.0000 0.2402 0.5000
Li: 0.5000 0.0000 0.5000
Li: 0.5000 0.5000 0.5000
Co: 0.0000 0.5000 0.0000
Co: 0.5000 0.2466 0.0000
O: 0.2478 0.2661 0.2186
O: 0.2576 0.5000 0.7824
O: 0.2831 0.0000 0.7729